Entry 1:
Pm3AlTl3Se8: theoretical powder XRD pattern (λ = 1.5418 Å (Cu Kα)), based on the GGA-PBE geometry in Alexandria.
No peak broadening, texture or thermal motion is included.

Unit cell a=8.398 b=8.398 c=9.038 alpha=117.76 beta=117.76 gamma=59.99
Element x y z (fractional)
Pm  0.000  0.000  0.000
Pm  0.000  0.500  0.000
Pm  0.500  0.000  0.000
Al  0.500  0.500  0.000
Tl  0.000  0.500  0.500
Tl  0.500  0.000  0.500
Tl  0.500  0.500  0.500
Se  0.238  0.238  0.215
Se  0.265  0.716  0.196
Se  0.284  0.284  0.804
Se  0.284  0.735  0.804
Se  0.716  0.265  0.196
Se  0.716  0.716  0.196
Se  0.735  0.284  0.804
Se  0.762  0.762  0.785

The 8 most intense peaks (10° ≤ 2θ ≤ 90°), sorted by position:
- 2θ 14.44, 6.135 Å, I = 18
- 2θ 25.71, 3.465 Å, I = 11
- 2θ 29.11, 3.068 Å, I = 100
- 2θ 40.14, 2.247 Å, I = 35
- 2θ 43.09, 2.099 Å, I = 35
- 2θ 52.86, 1.732 Å, I = 12
- 2θ 60.34, 1.534 Å, I = 10
- 2θ 70.47, 1.336 Å, I = 14

=====

Entry 2:
Pm3Al4Si2: theoretical powder XRD pattern (λ = 1.5418 Å (Cu Kα)), based on the GGA-PBE geometry in Alexandria.
No peak broadening, texture or thermal motion is included.

Unit cell a=5.982 b=5.982 c=8.513 alpha=101.35 beta=101.35 gamma=41.78
Element x y z (fractional)
Pm  0.000  0.000  0.000
Pm  0.332  0.332  0.337
Pm  0.668  0.668  0.663
Al  0.051  0.051  0.382
Al  0.274  0.274  0.937
Al  0.726  0.726  0.063
Al  0.949  0.949  0.618
Si  0.389  0.389  0.722
Si  0.611  0.611  0.278

The 8 most intense peaks (10° ≤ 2θ ≤ 90°), sorted by position:
- 2θ 21.25, 4.181 Å, I = 12
- 2θ 24.04, 3.701 Å, I = 49
- 2θ 32.30, 2.771 Å, I = 100
- 2θ 42.25, 2.139 Å, I = 21
- 2θ 50.12, 1.820 Å, I = 14
- 2θ 54.25, 1.691 Å, I = 15
- 2θ 62.08, 1.495 Å, I = 13
- 2θ 71.00, 1.328 Å, I = 13

=====

Entry 3:
Pm3Al4Si3: theoretical powder XRD pattern (λ = 1.5418 Å (Cu Kα)), based on the GGA-PBE geometry in Alexandria.
No peak broadening, texture or thermal motion is included.

Unit cell a=8.250 b=8.250 c=8.250 alpha=109.47 beta=109.47 gamma=109.47
Element x y z (fractional)
Pm  0.125  0.875  0.250
Pm  0.250  0.125  0.875
Pm  0.375  0.625  0.750
Pm  0.625  0.750  0.375
Pm  0.750  0.375  0.625
Pm  0.875  0.250  0.125
Al  0.000  0.171  0.500
Al  0.000  0.671  0.500
Al  0.171  0.500  0.000
Al  0.329  0.329  0.329
Al  0.500  0.000  0.171
Al  0.500  0.000  0.671
Al  0.671  0.500  0.000
Al  0.829  0.829  0.829
Si  0.125  0.750  0.875
Si  0.250  0.625  0.375
Si  0.375  0.250  0.625
Si  0.625  0.375  0.250
Si  0.750  0.875  0.125
Si  0.875  0.125  0.750

The 8 most intense peaks (10° ≤ 2θ ≤ 90°), sorted by position:
- 2θ 22.87, 3.889 Å, I = 100
- 2θ 26.46, 3.368 Å, I = 21
- 2θ 29.66, 3.012 Å, I = 62
- 2θ 35.25, 2.546 Å, I = 83
- 2θ 42.44, 2.130 Å, I = 64
- 2θ 44.62, 2.031 Å, I = 26
- 2θ 59.85, 1.545 Å, I = 35
- 2θ 72.98, 1.296 Å, I = 25

=====

Entry 4:
Pm6AlSi3: theoretical powder XRD pattern (λ = 1.5418 Å (Cu Kα)), based on the GGA-PBE geometry in Alexandria.
No peak broadening, texture or thermal motion is included.

Unit cell a=11.855 b=4.290 c=12.435 alpha=90.00 beta=108.34 gamma=90.00
Element x y z (fractional)
Pm  0.029  0.250  0.394
Pm  0.109  0.250  0.951
Pm  0.227  0.750  0.274
Pm  0.289  0.750  0.760
Pm  0.380  0.250  0.549
Pm  0.422  0.750  0.097
Pm  0.578  0.250  0.903
Pm  0.620  0.750  0.451
Pm  0.711  0.250  0.240
Pm  0.773  0.250  0.726
Pm  0.891  0.750  0.049
Pm  0.971  0.750  0.606
Al  0.443  0.250  0.300
Al  0.557  0.750  0.700
Si  0.048  0.250  0.169
Si  0.192  0.750  0.504
Si  0.342  0.250  0.923
Si  0.658  0.750  0.077
Si  0.808  0.250  0.496
Si  0.952  0.750  0.831

The 8 most intense peaks (10° ≤ 2θ ≤ 90°), sorted by position:
- 2θ 25.07, 3.552 Å, I = 75
- 2θ 25.42, 3.503 Å, I = 100
- 2θ 28.59, 3.122 Å, I = 60
- 2θ 29.42, 3.035 Å, I = 96
- 2θ 30.60, 2.922 Å, I = 60
- 2θ 30.79, 2.904 Å, I = 67
- 2θ 31.69, 2.824 Å, I = 57
- 2θ 42.14, 2.144 Å, I = 64